GdCd20Ni2: computed PXRD pattern (Cu Kα (weighted mean of Kα1 and Kα2)), based on a structure optimized by DFT (PBE).

Main lines, sorted by position (2θ = 10–90°):
- 33.6°, rel. 100
- 36.0°, rel. 37
- 37.4°, rel. 65
- 37.8°, rel. 63
- 39.6°, rel. 19
- 40.8°, rel. 24
- 49.0°, rel. 22
- 67.1°, rel. 42

Structure:
```
46
Lattice="0.0000 7.8920 7.8920 7.8920 0.0000 7.8920 7.8920 7.8920 0.0000" Properties=species:S:1:pos:R:3 pbc="T T T"
Gd 1.9730 1.9730 1.9730
Gd 13.8111 13.8111 13.8111
Cd 0.0000 0.0000 0.0000
Cd 3.9460 3.9460 0.0000
Cd 3.9460 0.0000 3.9460
Cd 5.1016 2.9992 2.9992
Cd 8.8389 6.7365 2.9992
Cd 8.8389 2.9992 6.7365
Cd 10.6825 6.9452 6.9452
Cd 12.7849 9.0476 6.9452
Cd 12.7849 6.9452 9.0476
Cd 5.9190 5.9190 3.7560
Cd 5.9190 3.7560 5.9190
Cd 8.0820 5.9190 5.9190
Cd 2.9992 5.1016 2.9992
Cd 6.7365 8.8389 2.9992
Cd 2.9992 2.9992 5.1016
Cd 8.8389 8.8389 5.1016
Cd 6.7365 2.9992 8.8389
Cd 8.8389 5.1016 8.8389
Cd 9.8650 9.8650 7.7020
Cd 9.8650 7.7020 9.8650
Cd 12.0281 9.8650 9.8650
Cd 0.0000 3.9460 3.9460
Cd 3.7560 5.9190 5.9190
Cd 5.9190 8.0820 5.9190
Cd 5.9190 5.9190 8.0820
Cd 6.9452 10.6825 6.9452
Cd 9.0476 12.7849 6.9452
Cd 6.9452 6.9452 10.6825
Cd 12.7849 12.7849 10.6825
Cd 9.0476 6.9452 12.7849
Cd 12.7849 10.6825 12.7849
Cd 7.7020 9.8650 9.8650
Cd 9.8650 12.0281 9.8650
Cd 9.8650 9.8650 12.0281
Cd 2.9992 8.8389 6.7365
Cd 2.9992 6.7365 8.8389
Cd 5.1016 8.8389 8.8389
Cd 6.9452 12.7849 9.0476
Cd 6.9452 9.0476 12.7849
Cd 10.6825 12.7849 12.7849
Ni 7.8920 3.9460 3.9460
Ni 3.9460 7.8920 3.9460
Ni 3.9460 3.9460 7.8920
Ni 7.8920 7.8920 7.8920
```


CaYMg14O16: computed PXRD pattern (Cu Kα (weighted mean of Kα1 and Kα2)), based on a structure optimized by DFT (PBE).

Main lines, sorted by position (2θ = 10–90°):
- 24.7°, rel. 10
- 35.4°, rel. 29
- 40.8°, rel. 52
- 41.2°, rel. 100
- 59.4°, rel. 59
- 59.7°, rel. 28
- 71.3°, rel. 11
- 74.9°, rel. 26

Structure:
```
32
Lattice="8.7626 0.0000 0.0000 0.0000 8.7626 0.0000 0.0000 0.0000 4.4206" Properties=species:S:1:pos:R:3 pbc="T T T"
Ca 0.0000 0.0000 0.0000
Y 4.3813 4.3813 0.0000
Mg 0.0000 2.2255 2.2103
Mg 0.0000 4.3813 0.0000
Mg 0.0000 6.5371 2.2103
Mg 2.0831 4.3813 2.2103
Mg 2.1554 2.1554 0.0000
Mg 2.1554 6.6072 0.0000
Mg 2.2255 0.0000 2.2103
Mg 4.3813 0.0000 0.0000
Mg 4.3813 2.0831 2.2103
Mg 4.3813 6.6795 2.2103
Mg 6.5371 0.0000 2.2103
Mg 6.6072 2.1554 0.0000
Mg 6.6072 6.6072 0.0000
Mg 6.6795 4.3813 2.2103
O 0.0000 0.0000 2.2103
O 0.0000 2.2950 0.0000
O 0.0000 4.3813 2.2103
O 0.0000 6.4676 0.0000
O 2.1170 4.3813 0.0000
O 2.1859 2.1859 2.2103
O 2.1859 6.5767 2.2103
O 2.2950 0.0000 0.0000
O 4.3813 0.0000 2.2103
O 4.3813 2.1170 0.0000
O 4.3813 4.3813 2.2103
O 4.3813 6.6456 0.0000
O 6.4676 0.0000 0.0000
O 6.5767 2.1859 2.2103
O 6.5767 6.5767 2.2103
O 6.6456 4.3813 0.0000
```